Diffraction record for CdAsP. The PXRD pattern is computed, not measured: it uses a crystal structure in Alexandria, relaxed with PBE and CuKα.
Kinematic intensities with the Lorentz-polarization factor, no thermal factor.

Main lines, in order of rising 2θ (2θ from 10° to 80°):
(hkl)  d (Å)  I (rel.)
0 1 1  5.624  20
0 2 0  3.850  41
1 1 2  2.859  100
1 2 1  2.788  48
2 1 1  2.145  22
1 3 2  1.972  20

Crystal structure
abc: 4.641 7.701 8.232
angles: 90.00 90.00 90.00
Space group I2_12_12_1 (No. 24)
Asymmetric unit:
Cd (0.136, 0.000, 0.250) x4
As (0.250, 0.442, 0.500) x4
P (0.000, 0.250, 0.672) x4